For V2Co21B6, DFT lattice parameters and positions (GGA-PBE) gives the calculated powder diffraction line list in this record (Cu Kα (λ = 1.5418 Å)).

Structure:
Cell lengths 7.362, 7.362, 7.362 Å; angles 60.00, 60.00, 60.00 degrees
Atoms (fractional coordinates):
V 0.250 0.250 0.250
V 0.750 0.750 0.750
Co 0.000 0.000 0.000
Co 0.000 0.000 0.338
Co 0.000 0.000 0.662
Co 0.000 0.338 0.000
Co 0.000 0.338 0.662
Co 0.000 0.662 0.000
Co 0.000 0.662 0.338
Co 0.141 0.620 0.620
Co 0.338 0.000 0.000
Co 0.338 0.000 0.662
Co 0.338 0.662 0.000
Co 0.380 0.380 0.380
Co 0.380 0.380 0.859
Co 0.380 0.859 0.380
Co 0.620 0.141 0.620
Co 0.620 0.620 0.141
Co 0.620 0.620 0.620
Co 0.662 0.000 0.000
Co 0.662 0.000 0.338
Co 0.662 0.338 0.000
Co 0.859 0.380 0.380
B 0.275 0.275 0.725
B 0.275 0.725 0.275
B 0.275 0.725 0.725
B 0.725 0.275 0.275
B 0.725 0.275 0.725
B 0.725 0.725 0.275

Main lines, by angle (10° ≤ 2θ ≤ 90°):
- 2.328 Å, rel. 18
- 2.125 Å, rel. 25
- 2.004 Å, rel. 100
- 1.840 Å, rel. 19
- 1.760 Å, rel. 26
- 1.227 Å, rel. 19